Entry 1:
Theoretical X-ray powder pattern of NdSm6Tl3 for Cu Kα (weighted mean of Kα1 and Kα2), from a PBE-relaxed structure.
No peak broadening, texture or thermal motion is included.

Atomic structure:
```
data_NdSm6Tl3
_cell_length_a 10.2870
_cell_length_b 5.3214
_cell_length_c 11.5196
_cell_angle_alpha 90.00
_cell_angle_beta 100.03
_cell_angle_gamma 90.00
_space_group_name_H-M_alt 'P 1'
_space_group_IT_number 1
loop_
_space_group_symop_operation_xyz
'x,y,z'
loop_
_atom_site_label
_atom_site_type_symbol
_atom_site_fract_x
_atom_site_fract_y
_atom_site_fract_z
Nd1 Nd 0.0460 0.2500 0.4056
Nd2 Nd 0.9540 0.7500 0.5944
Sm1 Sm 0.0730 0.7500 0.9086
Sm2 Sm 0.1366 0.7500 0.2247
Sm3 Sm 0.1839 0.2500 0.7210
Sm4 Sm 0.2755 0.7500 0.5188
Sm5 Sm 0.3596 0.2500 0.3106
Sm6 Sm 0.4498 0.7500 0.0952
Sm7 Sm 0.5502 0.2500 0.9048
Sm8 Sm 0.6404 0.7500 0.6894
Sm9 Sm 0.7245 0.2500 0.4812
Sm10 Sm 0.8161 0.7500 0.2790
Sm11 Sm 0.8634 0.2500 0.7753
Sm12 Sm 0.9270 0.2500 0.0914
Tl1 Tl 0.2398 0.2500 0.0288
Tl2 Tl 0.3605 0.7500 0.8101
Tl3 Tl 0.4587 0.2500 0.6092
Tl4 Tl 0.5413 0.7500 0.3908
Tl5 Tl 0.6395 0.2500 0.1899
Tl6 Tl 0.7602 0.7500 0.9712
```

Main lines, by intensity (2θ from 10° to 90°):
two_theta	d [Å]	intensity
31.2	2.866	100
31.5	2.839	89
33.7	2.661	43
33.4	2.681	37
58.7	1.573	27
48.2	1.889	27
41.5	2.176	19
54.5	1.684	17
58.9	1.568	15
58.2	1.586	13
65.1	1.433	9
53.9	1.701	8

---

Entry 2:
Theoretical X-ray powder pattern of AcCe4S6 for Cu Kα (weighted mean of Kα1 and Kα2), from a PBE-relaxed structure.
No peak broadening, texture or thermal motion is included.

Atomic structure:
```
data_AcCe4S6
_cell_length_a 6.9579
_cell_length_b 6.9579
_cell_length_c 20.3800
_cell_angle_alpha 90.00
_cell_angle_beta 90.00
_cell_angle_gamma 146.18
_space_group_name_H-M_alt 'P 1'
_space_group_IT_number 1
loop_
_space_group_symop_operation_xyz
'x,y,z'
loop_
_atom_site_label
_atom_site_type_symbol
_atom_site_fract_x
_atom_site_fract_y
_atom_site_fract_z
Ac1 Ac 0.1603 0.8397 0.7500
Ac2 Ac 0.8397 0.1603 0.2500
Ce1 Ce 0.0927 0.9073 0.1245
Ce2 Ce 0.0927 0.9073 0.3755
Ce3 Ce 0.3625 0.6375 0.0397
Ce4 Ce 0.3625 0.6375 0.4603
Ce5 Ce 0.6375 0.3625 0.5397
Ce6 Ce 0.6375 0.3625 0.9603
Ce7 Ce 0.9073 0.0927 0.6245
Ce8 Ce 0.9073 0.0927 0.8755
S1 S 0.0000 0.0000 0.0000
S2 S 0.0000 0.0000 0.5000
S3 S 0.1784 0.8216 0.2500
S4 S 0.2671 0.7329 0.5904
S5 S 0.2671 0.7329 0.9096
S6 S 0.4538 0.5462 0.1651
S7 S 0.4538 0.5462 0.3349
S8 S 0.5462 0.4538 0.6651
S9 S 0.5462 0.4538 0.8349
S10 S 0.7329 0.2671 0.0904
S11 S 0.7329 0.2671 0.4096
S12 S 0.8216 0.1784 0.7500
```

Main lines, by intensity (2θ from 10° to 90°):
two_theta	d [Å]	intensity
31.2	2.870	100
25.6	3.476	98
44.5	2.037	66
26.5	3.365	64
32.7	2.737	50
42.5	2.128	39
44.8	2.024	35
24.6	3.620	34
26.8	3.328	31
30.2	2.959	30
52.3	1.749	29
65.0	1.435	22